(1)
Structure and computed X-ray powder pattern of Cs2PuPdO6 (a GGA-PBE-relaxed structure; copper Kα).
Kinematic intensities with the Lorentz-polarization factor, no thermal factor.

Principal peaks in the range 5° ≤ 2θ ≤ 70°, in order of falling intensity:
2θ/deg	d (Å)	I_rel
27.0	3.303	100
15.5	5.721	72
22.2	3.997	64
35.8	2.510	51
53.6	1.710	41
45.4	1.999	35
35.2	2.546	32
47.7	1.907	20

Atomic structure:
abc: 6.6062 6.6062 5.5869
angles: 90.00 90.00 120.00
Atoms (fractional coordinates):
Cs 0.3333 0.6667 0.3212
Cs 0.6667 0.3333 0.6788
Pu 0.0000 0.0000 0.0000
Pd 0.0000 0.0000 0.5000
O 0.1347 0.2694 0.7546
O 0.1347 0.8653 0.7546
O 0.2694 0.1347 0.2454
O 0.7306 0.8653 0.7546
O 0.8653 0.1347 0.2454
O 0.8653 0.7306 0.2454


(2)
Structure and computed X-ray powder pattern of Cs2ScPdO4 (a GGA-PBE-relaxed structure; copper Kα).
Kinematic intensities with the Lorentz-polarization factor, no thermal factor.

Principal peaks in the range 5° ≤ 2θ ≤ 70°, in order of falling intensity:
2θ/deg	d (Å)	I_rel
20.7	4.282	100
27.2	3.277	88
28.0	3.184	67
34.4	2.607	50
26.5	3.368	43
15.7	5.627	40
48.5	1.875	40
39.9	2.257	37

Atomic structure:
abc: 13.1155 11.6036 7.3051
angles: 84.59 61.74 33.68
Atoms (fractional coordinates):
Cs 0.0583 0.0583 0.6917
Cs 0.3083 0.3083 0.9417
Cs 0.6917 0.6917 0.0583
Cs 0.9417 0.9417 0.3083
Sc 0.1250 0.1250 0.1250
Sc 0.8750 0.8750 0.8750
Pd 0.3750 0.3750 0.3750
Pd 0.6250 0.6250 0.6250
O 0.0039 0.2984 0.4416
O 0.2439 0.5584 0.7016
O 0.2984 0.0039 0.7561
O 0.4416 0.7561 0.0039
O 0.5584 0.2439 0.9961
O 0.7016 0.9961 0.2439
O 0.7561 0.4416 0.2984
O 0.9961 0.7016 0.5584


(3)
Structure and computed X-ray powder pattern of Cs2SmPdO4 (a GGA-PBE-relaxed structure; copper Kα).
Kinematic intensities with the Lorentz-polarization factor, no thermal factor.

Principal peaks in the range 5° ≤ 2θ ≤ 70°, in order of falling intensity:
2θ/deg	d (Å)	I_rel
14.6	6.074	100
25.4	3.511	79
32.0	2.795	55
25.2	3.535	44
45.3	2.003	38
24.3	3.665	30
39.2	2.296	29
30.2	2.956	28

Atomic structure:
abc: 14.0459 12.5127 7.6963
angles: 84.48 62.46 33.05
Atoms (fractional coordinates):
Cs 0.0651 0.0651 0.6849
Cs 0.3151 0.3151 0.9349
Cs 0.6849 0.6849 0.0651
Cs 0.9349 0.9349 0.3151
Sm 0.1250 0.1250 0.1250
Sm 0.8750 0.8750 0.8750
Pd 0.3750 0.3750 0.3750
Pd 0.6250 0.6250 0.6250
O 0.0268 0.6881 0.5220
O 0.2631 0.5220 0.6881
O 0.3119 0.9732 0.7369
O 0.4780 0.7369 0.9732
O 0.5220 0.2631 0.0268
O 0.6881 0.0268 0.2631
O 0.7369 0.4780 0.3119
O 0.9732 0.3119 0.4780


(4)
Structure and computed X-ray powder pattern of Cs2ZnPdO4 (a GGA-PBE-relaxed structure; copper Kα).
Kinematic intensities with the Lorentz-polarization factor, no thermal factor.

Principal peaks in the range 5° ≤ 2θ ≤ 70°, in order of falling intensity:
2θ/deg	d (Å)	I_rel
29.5	3.032	100
21.1	4.218	92
29.2	3.061	65
33.7	2.661	64
28.4	3.146	50
50.0	1.824	45
40.3	2.239	42
17.1	5.190	25

Atomic structure:
abc: 12.1378 10.7868 6.9437
angles: 83.39 61.98 34.63
Atoms (fractional coordinates):
Cs 0.0519 0.0519 0.6981
Cs 0.3019 0.3019 0.9481
Cs 0.6981 0.6981 0.0519
Cs 0.9481 0.9481 0.3019
Zn 0.1250 0.1250 0.1250
Zn 0.8750 0.8750 0.8750
Pd 0.3750 0.3750 0.3750
Pd 0.6250 0.6250 0.6250
O 0.0047 0.6681 0.5797
O 0.2476 0.5797 0.6681
O 0.3319 0.9953 0.7524
O 0.4203 0.7524 0.9953
O 0.5797 0.2476 0.0047
O 0.6681 0.0047 0.2476
O 0.7524 0.4203 0.3319
O 0.9953 0.3319 0.4203